# 1
Structure and computed powder diffraction line list of Mg6NbCuO8 (a PBE-relaxed structure; Cu Kα (weighted mean of Kα1 and Kα2)).
No peak broadening, texture or thermal motion is included.

```
Mg6NbCuO8
1.0
4.2807 0.0000 0.0000
0.0000 4.2807 0.0000
0.0000 0.0000 8.9640
Mg Nb Cu O
6 1 1 8
direct
0.0000 0.0000 0.0000
0.0000 0.0000 0.5000
0.0000 0.5000 0.2329
0.0000 0.5000 0.7671
0.5000 0.0000 0.2329
0.5000 0.0000 0.7671
0.5000 0.5000 0.5000
0.5000 0.5000 0.0000
0.0000 0.0000 0.2507
0.0000 0.0000 0.7493
0.0000 0.5000 0.0000
0.0000 0.5000 0.5000
0.5000 0.0000 0.0000
0.5000 0.0000 0.5000
0.5000 0.5000 0.2603
0.5000 0.5000 0.7397
```

Top 6 peaks for 10° ≤ 2θ ≤ 80°, in order of rising 2θ:
2θ 20.75, d 4.281, intensity 42; 2θ 28.84, d 3.096, intensity 37; 2θ 35.80, d 2.508, intensity 55; 2θ 40.24, d 2.241, intensity 55; 2θ 42.22, d 2.140, intensity 100; 2θ 59.74, d 1.548, intensity 60



# 2
Structure and computed powder diffraction line list of MgTi3NbCu3O12 (a PBE-relaxed structure; Cu Kα (weighted mean of Kα1 and Kα2)).
No peak broadening, texture or thermal motion is included.

```
MgTi3NbCu3O12
1.0
5.2980 3.0588 2.1651
-5.2980 3.0588 2.1651
0.0000 -6.1176 2.1651
Mg Ti Nb Cu O
1 3 1 3 12
direct
0.0000 0.0000 0.0000
0.0000 0.0000 0.5000
0.0000 0.5000 0.0000
0.5000 0.0000 0.0000
0.5000 0.5000 0.5000
0.0000 0.5000 0.5000
0.5000 0.0000 0.5000
0.5000 0.5000 0.0000
0.1219 0.8232 0.2984
0.1727 0.2979 0.4750
0.1768 0.7016 0.8781
0.2984 0.1219 0.8232
0.2979 0.4750 0.1727
0.4750 0.1727 0.2979
0.5250 0.8273 0.7021
0.7021 0.5250 0.8273
0.7016 0.8781 0.1768
0.8232 0.2984 0.1219
0.8273 0.7021 0.5250
0.8781 0.1768 0.7016
```

Top 6 peaks for 10° ≤ 2θ ≤ 80°, in order of rising 2θ:
2θ 16.72, d 5.302, intensity 13; 2θ 29.19, d 3.060, intensity 12; 2θ 33.83, d 2.650, intensity 100; 2θ 48.59, d 1.874, intensity 29; 2θ 60.52, d 1.530, intensity 50; 2θ 71.16, d 1.325, intensity 13



# 3
Structure and computed powder diffraction line list of MgTi2Nb2Cu3O12 (a PBE-relaxed structure; Cu Kα (weighted mean of Kα1 and Kα2)).
No peak broadening, texture or thermal motion is included.

```
MgTi2Nb2Cu3O12
1.0
6.5691 0.0000 0.0000
-2.0873 6.2527 0.0000
-1.9881 -2.8923 5.5993
Mg Ti Nb Cu O
1 2 2 3 12
direct
0.0000 0.0000 0.0000
0.3149 0.3188 0.4454
0.8431 0.3816 0.9559
0.3331 0.8431 0.8969
0.7877 0.8482 0.4282
0.3069 0.3365 0.9233
0.6407 0.6624 0.8508
0.8063 0.3443 0.4209
0.0156 0.0459 0.3219
0.0983 0.9505 0.7276
0.1123 0.3459 0.0970
0.1851 0.5350 0.6084
0.3875 0.1256 0.2036
0.4764 0.3052 0.7220
0.4995 0.7193 0.1063
0.5922 0.6330 0.5135
0.6311 0.0175 0.9094
0.7843 0.1436 0.5936
0.8103 0.5222 0.2296
0.9779 0.6582 0.9265
```

Top 6 peaks for 10° ≤ 2θ ≤ 80°, in order of rising 2θ:
2θ 16.68, d 5.314, intensity 70; 2θ 31.97, d 2.800, intensity 100; 2θ 33.43, d 2.681, intensity 73; 2θ 33.57, d 2.669, intensity 93; 2θ 33.74, d 2.657, intensity 66; 2θ 47.35, d 1.920, intensity 73



# 4
Structure and computed powder diffraction line list of MgTi2Nb2Cu3O12 (a PBE-relaxed structure; Cu Kα (weighted mean of Kα1 and Kα2)).
No peak broadening, texture or thermal motion is included.

```
MgTi2Nb2Cu3O12
1.0
6.4820 0.0000 0.0000
-2.1350 6.2435 0.0000
-1.9666 -3.0255 5.7475
Mg Ti Nb Cu O
1 2 2 3 12
direct
0.0000 0.0000 0.0000
0.3855 0.9651 0.8221
0.8878 0.9279 0.3547
0.3861 0.4619 0.3340
0.8873 0.4359 0.8149
0.3606 0.9379 0.2936
0.3936 0.4705 0.8339
0.7009 0.9258 0.6469
0.0387 0.9304 0.6227
0.0612 0.3302 0.0052
0.1337 0.2062 0.3637
0.1710 0.6204 0.7904
0.3257 0.7362 0.4656
0.3604 0.1164 0.1015
0.5437 0.2560 0.8074
0.5727 0.6312 0.1970
0.6540 0.5299 0.5956
0.6541 0.9280 0.9317
0.7455 0.1299 0.4866
0.9688 0.7377 0.0943
```

Top 6 peaks for 10° ≤ 2θ ≤ 80°, in order of rising 2θ:
2θ 16.66, d 5.321, intensity 89; 2θ 22.55, d 3.943, intensity 48; 2θ 31.12, d 2.874, intensity 42; 2θ 32.41, d 2.762, intensity 73; 2θ 33.69, d 2.660, intensity 100; 2θ 47.86, d 1.900, intensity 38



> Which formula does entry 2 have?

MgTi3NbCu3O12